No. 1
La10Tl3Ge3: computed X-ray diffraction stick pattern (Cu Kα (weighted mean of Kα1 and Kα2)), based on a crystal structure in Alexandria, relaxed with PBE.
Kinematic intensities with the Lorentz-polarization factor, no thermal factor.

Cell and atoms:
Cell lengths 9.3141, 9.3141, 6.8188 Å; angles 90.00, 90.00, 120.00 degrees
Space group P-62m (No. 189)
Inequivalent atoms, fractional coordinates:
La 0.0000 0.2484 0.0000 [3 per cell]
La 0.0000 0.7563 0.5000 [3 per cell]
La 0.3333 0.6667 0.2788 [4 per cell]
Tl 0.0000 0.6013 0.0000 [3 per cell]
Ge 0.0000 0.3839 0.5000 [3 per cell]

Top 6 peaks for 2θ = 10–80°, low angle first:
d/Å	I/Imax
3.409	22
3.049	30
2.783	100
2.751	80
2.689	45
1.822	30


No. 2
La5Tl2Ge: computed X-ray diffraction stick pattern (Cu Kα (weighted mean of Kα1 and Kα2)), based on a crystal structure in Alexandria, relaxed with PBE.
Kinematic intensities with the Lorentz-polarization factor, no thermal factor.

Cell and atoms:
Cell lengths 7.0095, 13.5008, 5.3898 Å; angles 90.00, 90.00, 90.00 degrees
Space group Pbam (No. 55)
Inequivalent atoms, fractional coordinates:
La 0.0000 0.0000 0.0000 [2 per cell]
La 0.1422 0.2841 0.0000 [4 per cell]
La 0.1524 0.5854 0.5000 [4 per cell]
Tl 0.1051 0.8436 0.5000 [4 per cell]
Ge 0.0000 0.5000 0.0000 [2 per cell]

Top 6 peaks for 2θ = 10–80°, low angle first:
d/Å	I/Imax
3.099	52
3.041	31
2.871	100
2.861	65
2.695	75
1.587	28


No. 3
La2TmGe2: computed X-ray diffraction stick pattern (Cu Kα (weighted mean of Kα1 and Kα2)), based on a crystal structure in Alexandria, relaxed with PBE.
Kinematic intensities with the Lorentz-polarization factor, no thermal factor.

Cell and atoms:
Cell lengths 7.7416, 7.7416, 4.5501 Å; angles 90.00, 90.00, 90.00 degrees
Space group P4/mbm (No. 127)
Inequivalent atoms, fractional coordinates:
La 0.1752 0.3249 0.0000 [4 per cell]
Tm 0.0000 0.0000 0.5000 [2 per cell]
Ge 0.1227 0.6227 0.5000 [4 per cell]

Top 6 peaks for 2θ = 10–80°, low angle first:
d/Å	I/Imax
3.499	22
2.948	73
2.755	100
2.448	52
2.275	28
1.667	32


No. 4
La2TmGe2: computed X-ray diffraction stick pattern (Cu Kα (weighted mean of Kα1 and Kα2)), based on a crystal structure in Alexandria, relaxed with PBE.
Kinematic intensities with the Lorentz-polarization factor, no thermal factor.

Cell and atoms:
Cell lengths 12.6892, 4.4843, 11.0157 Å; angles 90.00, 117.27, 90.00 degrees
Space group C2/m (No. 12)
Inequivalent atoms, fractional coordinates:
La 0.0151 0.0000 0.1868 [4 per cell]
La 0.1793 0.0000 0.5912 [4 per cell]
Tm 0.2245 0.5000 0.8684 [4 per cell]
Ge 0.0090 0.5000 0.3875 [4 per cell]
Ge 0.1190 0.5000 0.0596 [4 per cell]

Top 6 peaks for 2θ = 10–80°, low angle first:
d/Å	I/Imax
3.070	58
2.983	69
2.937	100
2.676	70
2.534	76
2.242	58


Question: Number 2 is which compound?
Answer: La5Tl2Ge